[1]
Starting from a PBE-relaxed structure, the powder XRD pattern of Ba3Na was calculated for Cu Kα (λ = 1.5418 Å).

Structural model:
```
4
Lattice="6.2081 0.0000 0.0000 0.0000 6.2081 0.0000 0.0000 0.0000 6.2081" Properties=species:S:1:pos:R:3 pbc="T T T"
Ba 0.0000 0.0000 3.1041
Ba 0.0000 3.1041 0.0000
Ba 3.1041 0.0000 0.0000
Na 3.1041 3.1041 3.1041
```

Principal peaks in the range 10 to 90 degrees two-theta, in order of rising 2θ:
d_spacing  2theta  I (rel.)
6.208  14.27  18
4.390  20.23  16
3.584  24.84  100
3.104  28.76  52
2.195  41.13  39
1.872  48.64  47
1.792  50.96  14
1.424  65.54  19
1.388  67.47  18
1.195  80.37  15

***

[2]
Starting from a PBE-relaxed structure, the powder XRD pattern of Ba3Na was calculated for Cu Kα (λ = 1.5418 Å).

Structural model:
```
4
Lattice="-2.9813 2.9813 6.6266 2.9813 -2.9813 6.6266 2.9813 2.9813 -6.6266" Properties=species:S:1:pos:R:3 pbc="T T T"
Ba 0.0000 0.0000 0.0000
Ba 2.9813 0.0000 3.3133
Ba 0.0000 2.9813 3.3133
Na 0.0000 0.0000 6.6266
```

Principal peaks in the range 10 to 90 degrees two-theta, in order of rising 2θ:
d_spacing  2theta  I (rel.)
5.438  16.30  17
3.557  25.04  100
3.313  26.91  20
2.981  29.97  30
2.216  40.71  26
2.108  42.90  11
1.957  46.41  17
1.814  50.31  28
1.779  51.37  13
1.434  65.04  13